Calculated X-ray powder pattern of Ba2Eu3Si7 for Cu Kα X-rays, from the GGA-PBE geometry in the Materials Project.
Intensities are scaled so that the largest is 100.

Main lines, sorted by position (10° ≤ 2θ ≤ 80°):
d/Å	Rel. int.	index
4.662	16	1 1 0
4.038	18	2 0 0
3.679	22	1 0 1
3.093	100	1 1 1
3.052	52	2 1 0
2.692	33	3 0 0
2.455	55	2 1 1
2.031	18	2 2 1
1.711	19	2 1 2
1.691	15	3 2 1

Structure:
a = 9.3248 Å, b = 9.3248 Å, c = 4.1334 Å
α = 90.00°, β = 90.00°, γ = 120.00°
Fractional coordinates of all 12 atoms:
Ba (0.3333, 0.6667, 0.0000)
Ba (0.6667, 0.3333, 0.0000)
Eu (0.0000, 0.7484, 0.5000)
Eu (0.2516, 0.2516, 0.5000)
Eu (0.7484, 0.0000, 0.5000)
Si (0.0000, 0.0000, 0.0000)
Si (0.0000, 0.2579, 0.0000)
Si (0.0000, 0.3997, 0.5000)
Si (0.2579, 0.0000, 0.0000)
Si (0.3997, 0.0000, 0.5000)
Si (0.6003, 0.6003, 0.5000)
Si (0.7421, 0.7421, 0.0000)



Calculated X-ray powder pattern of LiTiTe2 for Cu Kα X-rays, from the GGA-PBE geometry in the Materials Project.
Intensities are scaled so that the largest is 100.

Main lines, sorted by position (10° ≤ 2θ ≤ 80°):
d/Å	Rel. int.	index
3.450	24	0 0 2
3.089	100	1 0 1
2.440	35	1 0 2
1.995	27	1 1 0
1.914	28	0 1 3
1.727	16	1 1 2
1.676	16	0 2 1
1.544	10	0 2 2
1.304	12	1 1 4
1.283	13	2 1 1

Structure:
a = 3.9896 Å, b = 3.9896 Å, c = 6.8947 Å
α = 90.00°, β = 90.00°, γ = 120.00°
Fractional coordinates of all 4 atoms:
Li (0.0000, 0.0000, 0.0000)
Ti (0.0000, 0.0000, 0.5000)
Te (0.3333, 0.6667, 0.2608)
Te (0.6667, 0.3333, 0.7392)